Theoretical PXRD pattern of Ac3In9Ir2 for a wavelength of 1.5418 Å, from a PBE-relaxed structure.

Cell and atoms:
a = 9.134 Å, b = 9.134 Å, c = 9.134 Å
α = 149.37°, β = 104.73°, γ = 83.41°
Element x y z (fractional)
Ac 0.000 0.000 0.000
Ac 0.327 0.327 0.000
Ac 0.673 0.673 0.000
In 0.031 0.664 0.367
In 0.159 0.879 0.280
In 0.297 0.664 0.633
In 0.400 0.121 0.280
In 0.500 0.000 0.500
In 0.600 0.879 0.720
In 0.703 0.336 0.367
In 0.841 0.121 0.720
In 0.969 0.336 0.633
Ir 0.281 0.500 0.781
Ir 0.719 0.500 0.219

Largest 10 diffraction maxima, most intense first, 2θ = 5–70°:
- 31.4 deg, I 100
- 37.3 deg, I 38
- 30.3 deg, I 28
- 31.1 deg, I 26
- 39.6 deg, I 18
- 37.9 deg, I 17
- 33.1 deg, I 16
- 41.3 deg, I 15
- 49.3 deg, I 15
- 56.8 deg, I 15